Computed powder diffraction line list
Compound: Na3Ag2Sn7
Radiation: Cu Kα
Structure: a PBE-relaxed structure
Kinematic intensities with the Lorentz-polarization factor, no thermal factor.

Crystal structure
```
Na3Ag2Sn7
1.0
4.758 0.000 0.000
0.000 4.759 0.000
-2.314 0.000 13.984
Na Ag Sn
3 2 7
Direct
0.000 0.000 0.000
0.292 0.000 0.588
0.708 0.000 0.412
0.057 0.500 0.120
0.943 0.500 0.880
0.129 0.000 0.256
0.214 0.500 0.422
0.386 0.500 0.760
0.500 0.500 0.000
0.614 0.500 0.240
0.786 0.500 0.578
0.871 0.000 0.744
```

Largest 10 diffraction maxima, by angle, 2θ = 15–90°:
two_theta  I (rel.)
18.64  59
26.70  20
31.01  43
34.80  85
34.92  87
37.81  100
39.40  16
54.54  35
66.37  32
66.50  17


Computed powder diffraction line list
Compound: La6BN3O6
Radiation: Cu Kα
Structure: a PBE-relaxed structure
Kinematic intensities with the Lorentz-polarization factor, no thermal factor.

Crystal structure
```
La6BN3O6
1.0
1.840 -12.521 0.000
1.840 12.521 0.000
0.000 0.000 11.001
La B N O
12 2 6 12
Direct
0.048 0.952 0.750
0.187 0.813 0.569
0.187 0.813 0.931
0.199 0.801 0.250
0.432 0.568 0.565
0.432 0.568 0.935
0.568 0.432 0.065
0.568 0.432 0.435
0.801 0.199 0.750
0.813 0.187 0.069
0.813 0.187 0.431
0.952 0.048 0.250
0.360 0.640 0.250
0.640 0.360 0.750
0.301 0.699 0.250
0.389 0.611 0.134
0.389 0.611 0.366
0.611 0.389 0.634
0.611 0.389 0.866
0.699 0.301 0.750
0.000 0.000 0.000
0.000 0.000 0.500
0.123 0.877 0.106
0.123 0.877 0.394
0.282 0.718 0.592
0.282 0.718 0.908
0.487 0.513 0.750
0.513 0.487 0.250
0.718 0.282 0.092
0.718 0.282 0.408
0.877 0.123 0.606
0.877 0.123 0.894
```

Largest 10 diffraction maxima, by angle, 2θ = 15–90°:
two_theta  I (rel.)
26.47  24
28.20  100
28.52  41
30.14  41
31.20  25
34.72  46
38.73  19
47.91  36
49.52  28
57.98  27


Computed powder diffraction line list
Compound: Ti3Te4Br2
Radiation: Cu Kα
Structure: a PBE-relaxed structure
Kinematic intensities with the Lorentz-polarization factor, no thermal factor.

Crystal structure
```
Ti3Te4Br2
1.0
3.660 0.000 0.000
-1.830 3.170 0.000
0.000 0.000 22.549
Ti Te Br
3 4 2
Direct
0.000 0.000 0.000
0.000 0.000 0.347
0.667 0.333 0.674
0.000 0.000 0.594
0.000 0.000 0.754
0.667 0.333 0.267
0.667 0.333 0.427
0.667 0.333 0.073
0.667 0.333 0.927
```

Largest 10 diffraction maxima, by angle, 2θ = 15–90°:
two_theta  I (rel.)
23.67  51
28.15  71
28.44  55
32.41  27
34.59  100
37.11  34
39.91  39
42.94  49
49.83  53
55.88  30


Computed powder diffraction line list
Compound: Rb2PbAu3
Radiation: Cu Kα
Structure: a PBE-relaxed structure
Kinematic intensities with the Lorentz-polarization factor, no thermal factor.

Crystal structure
```
Rb2PbAu3
1.0
5.632 -4.633 0.000
5.632 4.633 0.000
-0.820 0.000 7.768
Rb Pb Au
4 2 6
Direct
0.070 0.262 0.126
0.262 0.070 0.626
0.738 0.930 0.374
0.930 0.738 0.874
0.484 0.516 0.750
0.516 0.484 0.250
0.176 0.544 0.496
0.199 0.801 0.250
0.456 0.824 0.004
0.544 0.176 0.996
0.801 0.199 0.750
0.824 0.456 0.504
```

Largest 10 diffraction maxima, by angle, 2θ = 15–90°:
two_theta  I (rel.)
15.82  26
17.42  93
26.78  100
29.29  81
30.02  24
32.50  32
36.10  35
37.56  93
37.80  49
38.61  40


Computed powder diffraction line list
Compound: Rb2Zn12Au7
Radiation: Cu Kα
Structure: a PBE-relaxed structure
Kinematic intensities with the Lorentz-polarization factor, no thermal factor.

Crystal structure
```
Rb2Zn12Au7
1.0
10.275 0.000 0.000
-5.138 8.899 0.000
0.000 0.000 4.485
Rb Zn Au
2 12 7
Direct
0.000 0.000 0.000
0.333 0.667 0.500
0.012 0.724 0.500
0.151 0.381 0.000
0.231 0.849 0.000
0.276 0.288 0.500
0.378 0.153 0.000
0.564 0.147 0.500
0.583 0.436 0.500
0.619 0.769 0.000
0.712 0.988 0.500
0.775 0.622 0.000
0.847 0.225 0.000
0.853 0.417 0.500
0.011 0.569 0.000
0.260 0.002 0.500
0.431 0.442 0.000
0.558 0.989 0.000
0.667 0.333 0.000
0.742 0.740 0.500
0.998 0.258 0.500
```

Largest 10 diffraction maxima, by angle, 2θ = 15–90°:
two_theta  I (rel.)
26.38  35
26.50  58
28.25  47
30.13  27
33.30  55
36.39  38
40.21  59
40.48  80
41.77  100
49.03  38


Computed powder diffraction line list
Compound: Sr4DyTh3Bi8
Radiation: Cu Kα
Structure: a PBE-relaxed structure
Kinematic intensities with the Lorentz-polarization factor, no thermal factor.

Crystal structure
```
Sr4DyTh3Bi8
1.0
4.680 2.702 7.806
-4.680 2.702 7.806
0.000 -5.405 7.806
Sr Dy Th Bi
4 1 3 8
Direct
0.000 0.000 0.000
0.000 0.500 0.500
0.500 0.000 0.500
0.500 0.500 0.000
0.500 0.500 0.500
0.000 0.000 0.500
0.000 0.500 0.000
0.500 0.000 0.000
0.244 0.244 0.244
0.246 0.742 0.742
0.258 0.258 0.754
0.258 0.754 0.258
0.742 0.246 0.742
0.742 0.742 0.246
0.754 0.258 0.258
0.756 0.756 0.756
```

Largest 10 diffraction maxima, by angle, 2θ = 15–90°:
two_theta  I (rel.)
26.75  100
37.92  39
38.47  40
47.47  22
55.12  13
61.91  18
62.68  19
69.22  14
69.58  7
88.58  8


Computed powder diffraction line list
Compound: Sm2Si3Pt5
Radiation: Cu Kα
Structure: a PBE-relaxed structure
Kinematic intensities with the Lorentz-polarization factor, no thermal factor.

Crystal structure
```
Sm2Si3Pt5
1.0
2.068 -12.251 0.000
2.068 12.251 0.000
0.000 0.000 7.261
Sm Si Pt
4 6 10
Direct
0.041 0.959 0.500
0.333 0.667 0.741
0.667 0.333 0.241
0.959 0.041 0.000
0.124 0.876 0.804
0.263 0.737 0.254
0.461 0.539 0.675
0.539 0.461 0.175
0.737 0.263 0.754
0.876 0.124 0.304
0.085 0.915 0.103
0.213 0.787 0.546
0.213 0.787 0.952
0.360 0.640 0.141
0.456 0.544 0.339
0.544 0.456 0.839
0.640 0.360 0.641
0.787 0.213 0.046
0.787 0.213 0.452
0.915 0.085 0.603
```

Largest 10 diffraction maxima, by angle, 2θ = 15–90°:
two_theta  I (rel.)
27.11  70
28.58  55
30.85  58
33.03  99
33.54  100
35.81  45
37.74  46
40.06  52
41.98  61
43.77  81


Computed powder diffraction line list
Compound: CeTeN
Radiation: Cu Kα
Structure: a PBE-relaxed structure
Kinematic intensities with the Lorentz-polarization factor, no thermal factor.

Crystal structure
```
CeTeN
1.0
2.893 -2.893 0.000
2.893 2.893 0.000
-2.882 0.000 8.468
Ce Te N
2 2 2
Direct
0.186 0.186 0.371
0.814 0.814 0.629
0.417 0.417 0.836
0.583 0.583 0.164
0.250 0.750 0.500
0.750 0.250 0.500
```

Largest 10 diffraction maxima, by angle, 2θ = 15–90°:
two_theta  I (rel.)
22.35  16
26.91  65
30.90  79
34.37  100
44.27  36
52.57  20
53.64  27
57.22  46
63.20  13
73.14  13